Theoretical powder XRD pattern
Compound: KEuW4O12
Radiation: Cu Ka
Structure: a PBE+U-relaxed structure

Top 6 peaks for 10° ≤ 2θ ≤ 90°, in order of falling intensity:
d [Å]	Rel. int.	hkl
2.804	1000	0 2 2
3.954	600	2 0 0
2.796	496	2 2 0
1.616	403	4 2 2
1.977	306	0 4 0
3.978	306	0 0 2

Crystal structure
```
data_KEuW4O12
_chemical_formula_sum 'K2 Eu2 W8 O24'
_cell_length_a 7.9048
_cell_length_b 7.9115
_cell_length_c 7.9551
_cell_angle_alpha 90.00
_cell_angle_beta 90.00
_cell_angle_gamma 90.00
_space_group_name_H-M_alt 'A m m 2'
_space_group_IT_number 38
loop_
_space_group_symop_operation_xyz
'x,y,z'
'-x,-y,z'
'-x,y,z'
'x,-y,z'
'x,y+1/2,z+1/2'
'-x,-y+1/2,z+1/2'
'-x,y+1/2,z+1/2'
'x,-y+1/2,z+1/2'
loop_
_atom_site_label
_atom_site_fract_x
_atom_site_fract_y
_atom_site_fract_z
K1 0.0000 0.0000 0.0000
Eu1 0.5000 0.0000 0.5049
W1 0.2487 0.2497 0.2554
O1 0.0000 0.2463 0.7506
O2 0.2465 0.0000 0.2554
O3 0.2583 0.2384 0.5045
O4 0.2664 0.0000 0.7516
O5 0.5000 0.2436 0.2580
```